(1)
Simulated PXRD pattern of La3SnSb2 for CuKα, from DFT lattice parameters and positions (GGA-PBE).

Cell and atoms:
a = 14.8307 Å, b = 6.5462 Å, c = 9.1045 Å
α = 90.00°, β = 107.87°, γ = 90.00°
Space group C2/c (No. 15)
Asymmetric unit:
La (0.0000, 0.0010, 0.2500)
La (0.1711, 0.5000, 0.0856)
Sn (0.0000, 0.4990, 0.7500)
Sb (0.1661, 0.0000, 0.0829)

Top 10 peaks for 10 to 80 degrees two-theta, in order of rising 2θ:
| two_theta | I (rel.) |
| --- | --- |
| 27.25 | 100 |
| 38.26 | 13 |
| 38.92 | 52 |
| 39.60 | 12 |
| 47.60 | 14 |
| 48.73 | 14 |
| 56.23 | 13 |
| 63.58 | 24 |
| 69.61 | 9 |
| 71.39 | 9 |

---

(2)
Simulated PXRD pattern of AcLa2InRu for CuKα, from DFT lattice parameters and positions (GGA-PBE).

Cell and atoms:
a = 5.4609 Å, b = 5.4609 Å, c = 5.7468 Å
α = 90.00°, β = 90.00°, γ = 90.00°
Space group P4mm (No. 99)
Asymmetric unit:
Ac (0.0000, 0.0000, 0.0000)
La (0.0000, 0.5000, 0.4967)
In (0.5000, 0.5000, 0.0036)
Ru (0.0000, 0.0000, 0.5041)

Top 10 peaks for 10 to 80 degrees two-theta, in order of rising 2θ:
| two_theta | I (rel.) |
| --- | --- |
| 16.23 | 30 |
| 27.84 | 100 |
| 31.13 | 37 |
| 32.80 | 65 |
| 45.85 | 51 |
| 47.07 | 24 |
| 53.39 | 17 |
| 55.57 | 30 |
| 57.51 | 26 |
| 73.89 | 13 |

---

(3)
Simulated PXRD pattern of K2Na6Hg3 for CuKα, from DFT lattice parameters and positions (GGA-PBE).

Cell and atoms:
a = 9.4634 Å, b = 9.4634 Å, c = 5.2519 Å
α = 90.00°, β = 90.00°, γ = 120.00°
Space group P-62m (No. 189)
Asymmetric unit:
K (0.3333, 0.6667, 0.0000)
Na (0.0000, 0.2798, 0.5000)
Na (0.0000, 0.7881, 0.0000)
Hg (0.0000, 0.6107, 0.5000)

Top 10 peaks for 10 to 80 degrees two-theta, in order of rising 2θ:
| two_theta | I (rel.) |
| --- | --- |
| 16.88 | 41 |
| 18.75 | 88 |
| 25.34 | 100 |
| 27.61 | 29 |
| 32.78 | 26 |
| 33.59 | 41 |
| 39.24 | 29 |
| 39.65 | 27 |
| 43.38 | 30 |
| 53.30 | 23 |

---

(4)
Simulated PXRD pattern of CeBe17Ir for CuKα, from DFT lattice parameters and positions (GGA-PBE).

Cell and atoms:
a = 7.5645 Å, b = 7.5645 Å, c = 10.9455 Å
α = 90.00°, β = 90.00°, γ = 120.00°
Space group R3m (No. 160, hexagonal axes)
Asymmetric unit:
Ce (0.0000, 0.0000, 0.0000)
Be (0.0000, 0.0000, 0.5554)
Be (0.0000, 0.0000, 0.7482)
Be (0.0468, 0.3705, 0.3201)
Be (0.1706, 0.3413, 0.8337)
Be (0.1723, 0.3446, 0.4905)
Be (0.1788, 0.3575, 0.1373)
Ir (0.0000, 0.0000, 0.3339)

Top 10 peaks for 10 to 80 degrees two-theta, in order of rising 2θ:
| two_theta | I (rel.) |
| --- | --- |
| 15.77 | 62 |
| 21.15 | 37 |
| 23.52 | 100 |
| 24.40 | 31 |
| 34.15 | 90 |
| 37.23 | 19 |
| 41.35 | 31 |
| 48.11 | 23 |
| 48.59 | 43 |
| 70.79 | 23 |

---

(5)
Simulated PXRD pattern of KRb2ZnAu for CuKα, from DFT lattice parameters and positions (GGA-PBE).

Cell and atoms:
a = 4.7946 Å, b = 5.9381 Å, c = 19.7028 Å
α = 90.00°, β = 90.00°, γ = 90.00°
Space group Imm2 (No. 44)
Asymmetric unit:
K (0.0000, 0.0000, 0.0000)
Rb (0.0000, 0.0000, 0.2956)
Rb (0.0000, 0.0000, 0.6522)
Zn (0.0000, 0.5000, 0.3769)
Au (0.0000, 0.0000, 0.8294)

Top 10 peaks for 10 to 80 degrees two-theta, in order of rising 2θ:
| two_theta | I (rel.) |
| --- | --- |
| 15.59 | 100 |
| 18.01 | 38 |
| 23.85 | 77 |
| 25.53 | 36 |
| 27.16 | 71 |
| 30.08 | 76 |
| 35.29 | 25 |
| 36.45 | 72 |
| 46.93 | 32 |
| 52.48 | 24 |

---

(6)
Simulated PXRD pattern of Na3GaS3 for CuKα, from DFT lattice parameters and positions (GGA-PBE).

Cell and atoms:
a = 7.2338 Å, b = 6.9952 Å, c = 14.6413 Å
α = 90.00°, β = 119.14°, γ = 90.00°
Space group P2_1/c (No. 14)
Asymmetric unit:
Na (0.0672, 0.0366, 0.2925)
Na (0.2691, 0.5018, 0.6105)
Na (0.3084, 0.0012, 0.6040)
Ga (0.3328, 0.6429, 0.4178)
S (0.0522, 0.7422, 0.9283)
S (0.3438, 0.7447, 0.2739)
S (0.3515, 0.1936, 0.9292)

Top 10 peaks for 10 to 80 degrees two-theta, in order of rising 2θ:
| two_theta | I (rel.) |
| --- | --- |
| 14.10 | 100 |
| 14.43 | 61 |
| 17.64 | 38 |
| 18.80 | 63 |
| 18.93 | 69 |
| 28.45 | 36 |
| 35.38 | 61 |
| 35.71 | 32 |
| 42.41 | 36 |
| 42.95 | 38 |

---

(7)
Simulated PXRD pattern of BiH2Pt for CuKα, from DFT lattice parameters and positions (GGA-PBE).

Cell and atoms:
a = 4.9367 Å, b = 4.5669 Å, c = 12.1625 Å
α = 90.00°, β = 113.91°, γ = 90.00°
Space group P2_1/c (No. 14)
Asymmetric unit:
Bi (0.2166, 0.2474, 0.2496)
H (0.0007, 0.2062, 0.4500)
H (0.4003, 0.7066, 0.9504)
Pt (0.3081, 0.0003, 0.5582)

Top 10 peaks for 10 to 80 degrees two-theta, in order of rising 2θ:
| two_theta | I (rel.) |
| --- | --- |
| 21.03 | 79 |
| 27.80 | 100 |
| 30.15 | 45 |
| 31.14 | 37 |
| 36.13 | 53 |
| 39.96 | 52 |
| 42.23 | 30 |
| 42.81 | 48 |
| 49.17 | 35 |
| 54.76 | 28 |

---

(8)
Simulated PXRD pattern of LaMgI5 for CuKα, from DFT lattice parameters and positions (GGA-PBE).

Cell and atoms:
a = 17.4699 Å, b = 4.3560 Å, c = 16.2631 Å
α = 90.00°, β = 90.00°, γ = 90.00°
Space group Pnma (No. 62)
Asymmetric unit:
La (0.1566, 0.2500, 0.2357)
Mg (0.0926, 0.2500, 0.7448)
I (0.0271, 0.7500, 0.8458)
I (0.0527, 0.7500, 0.3460)
I (0.1553, 0.7500, 0.0950)
I (0.1593, 0.7500, 0.6455)
I (0.2357, 0.2500, 0.8401)

Top 10 peaks for 10 to 80 degrees two-theta, in order of rising 2θ:
| two_theta | I (rel.) |
| --- | --- |
| 10.88 | 58 |
| 21.86 | 14 |
| 26.75 | 21 |
| 27.81 | 100 |
| 30.49 | 12 |
| 31.80 | 35 |
| 37.57 | 19 |
| 41.46 | 16 |
| 50.64 | 19 |
| 51.96 | 13 |

---

(9)
Simulated PXRD pattern of Tb3PmNdSm for CuKα, from DFT lattice parameters and positions (GGA-PBE).

Cell and atoms:
a = 5.6796 Å, b = 7.0213 Å, c = 10.4636 Å
α = 89.98°, β = 74.26°, γ = 90.00°
Space group P-1 (No. 2)
Asymmetric unit:
Tb (0.0221, 0.2490, 0.4553)
Tb (0.2790, 0.2507, 0.9412)
Tb (0.3344, 0.7520, 0.8310)
Pm (0.1478, 0.5337, 0.2051)
Nd (0.4446, 0.2488, 0.6105)
Sm (0.1482, 0.9647, 0.2043)

Top 10 peaks for 10 to 80 degrees two-theta, in order of rising 2θ:
| two_theta | I (rel.) |
| --- | --- |
| 25.37 | 16 |
| 30.03 | 100 |
| 30.26 | 21 |
| 31.05 | 27 |
| 31.50 | 63 |
| 32.82 | 86 |
| 34.96 | 35 |
| 44.82 | 20 |
| 55.18 | 18 |
| 56.94 | 18 |

---

(10)
Simulated PXRD pattern of Al2VGe4 for CuKα, from DFT lattice parameters and positions (GGA-PBE).

Cell and atoms:
a = 4.8075 Å, b = 4.8075 Å, c = 12.8509 Å
α = 90.00°, β = 90.00°, γ = 90.00°
Space group I4/mmm (No. 139)
Asymmetric unit:
Al (0.0000, 0.0000, 0.1127)
V (0.0000, 0.0000, 0.5000)
Ge (0.0000, 0.0000, 0.3072)
Ge (0.0000, 0.5000, 0.0000)

Top 10 peaks for 10 to 80 degrees two-theta, in order of rising 2θ:
| two_theta | I (rel.) |
| --- | --- |
| 13.78 | 35 |
| 19.72 | 24 |
| 29.73 | 95 |
| 37.41 | 100 |
| 39.77 | 62 |
| 47.24 | 22 |
| 53.94 | 34 |
| 55.74 | 45 |
| 57.64 | 22 |
| 62.81 | 23 |

---

(11)
Simulated PXRD pattern of Tb2Ho4Mg for CuKα, from DFT lattice parameters and positions (GGA-PBE).

Cell and atoms:
a = 13.3152 Å, b = 20.0008 Å, c = 6.6489 Å
α = 90.00°, β = 90.00°, γ = 90.00°
Space group Ccce (No. 68, origin choice 2)
Asymmetric unit:
Tb (0.0000, 0.0006, 0.2500)
Tb (0.2497, 0.2500, 0.2500)
Ho (0.0662, 0.1646, 0.9997)
Ho (0.1720, 0.1198, 0.5005)
Mg (0.2500, 0.0000, 0.2507)

Top 10 peaks for 10 to 80 degrees two-theta, in order of rising 2θ:
| two_theta | I (rel.) |
| --- | --- |
| 26.01 | 18 |
| 26.78 | 16 |
| 29.98 | 33 |
| 31.36 | 100 |
| 32.33 | 85 |
| 38.26 | 17 |
| 50.29 | 19 |
| 55.31 | 22 |
| 57.02 | 16 |
| 62.37 | 16 |

---

(12)
Simulated PXRD pattern of ThNi2PH for CuKα, from DFT lattice parameters and positions (GGA-PBE).

Cell and atoms:
a = 3.6995 Å, b = 3.6995 Å, c = 10.1151 Å
α = 90.00°, β = 90.00°, γ = 90.00°
Space group I4mm (No. 107)
Asymmetric unit:
Th (0.0000, 0.0000, 0.0000)
Ni (0.0000, 0.5000, 0.2651)
P (0.0000, 0.0000, 0.6307)
H (0.0000, 0.0000, 0.3088)

Top 10 peaks for 10 to 80 degrees two-theta, in order of rising 2θ:
| two_theta | I (rel.) |
| --- | --- |
| 25.64 | 95 |
| 35.50 | 26 |
| 36.04 | 61 |
| 38.75 | 100 |
| 49.26 | 30 |
| 51.49 | 21 |
| 56.35 | 23 |
| 62.18 | 20 |
| 62.54 | 25 |
| 65.92 | 20 |